Record 1
For BaBiC3, a DFT-relaxed cell (PBE, Alexandria) gives the computed X-ray powder pattern in this record (Cu Kα (weighted mean of Kα1 and Kα2)).
Kinematic intensities with the Lorentz-polarization factor, no thermal factor.

Most intense lines, 2θ = 10–90°, by angle:
2θ = 27.17°, rel. 100.0, hkl 1 1 0; 2θ = 38.80°, rel. 25.1, hkl 2 0 0; 2θ = 48.01°, rel. 43.8, hkl 2 1 1; 2θ = 56.04°, rel. 16.9, hkl 2 2 0; 2θ = 63.37°, rel. 19.5, hkl 3 1 0; 2θ = 76.84°, rel. 23.0, hkl 3 2 1

Atomic structure:
```
data_BaBiC3
_chemical_formula_sum 'Ba1 Bi1 C3'
_cell_length_a 4.642
_cell_length_b 4.642
_cell_length_c 4.642
_cell_angle_alpha 90.00
_cell_angle_beta 90.00
_cell_angle_gamma 90.00
_space_group_name_H-M_alt 'P m -3 m'
_space_group_IT_number 221
_space_group_name_Hall '-P 4 2 3'
loop_
_atom_site_label
_atom_site_type_symbol
_atom_site_fract_x
_atom_site_fract_y
_atom_site_fract_z
Ba1 Ba 0.000 0.000 0.000
Bi1 Bi 0.500 0.500 0.500
C1 C 0.000 0.500 0.500
```


Record 2
For BaCa2Bi2, a DFT-relaxed cell (PBE, Alexandria) gives the computed X-ray powder pattern in this record (Cu Kα (weighted mean of Kα1 and Kα2)).
Kinematic intensities with the Lorentz-polarization factor, no thermal factor.

Most intense lines, 2θ = 10–90°, by angle:
2θ = 21.98°, rel. 100.0, hkl 1 0 1; 2θ = 28.60°, rel. 58.7, hkl 1 0 2; 2θ = 33.76°, rel. 60.1, hkl 1 1 0; 2θ = 37.29°, rel. 39.0, hkl 0 1 3; 2θ = 40.65°, rel. 21.3, hkl 0 2 1; 2θ = 53.84°, rel. 19.3, hkl 2 1 1

Atomic structure:
```
data_BaCa2Bi2
_chemical_formula_sum 'Ba1 Ca2 Bi2'
_cell_length_a 5.3100
_cell_length_b 5.3100
_cell_length_c 8.4972
_cell_angle_alpha 90.00
_cell_angle_beta 90.00
_cell_angle_gamma 120.00
_space_group_name_H-M_alt 'P -3 m 1'
_space_group_IT_number 164
_space_group_name_Hall '-P 3 2"'
loop_
_atom_site_label
_atom_site_type_symbol
_atom_site_fract_x
_atom_site_fract_y
_atom_site_fract_z
Ba1 Ba 0.0000 0.0000 0.0000
Ca1 Ca 0.3333 0.6667 0.3622
Bi1 Bi 0.3333 0.6667 0.7527
```


Record 3
For Ba2Ca3Bi4, a DFT-relaxed cell (PBE, Alexandria) gives the computed X-ray powder pattern in this record (Cu Kα (weighted mean of Kα1 and Kα2)).
Kinematic intensities with the Lorentz-polarization factor, no thermal factor.

Most intense lines, 2θ = 10–90°, by angle:
2θ = 20.79°, rel. 74.5, hkl 0 2 2; 2θ = 25.83°, rel. 40.4, hkl 2 2 0; 2θ = 27.48°, rel. 59.2, hkl 2 2 1; 2θ = 28.27°, rel. 97.9, hkl 1 5 1; 2θ = 29.51°, rel. 60.4, hkl 0 2 3; 2θ = 30.45°, rel. 100.0, hkl 2 0 2

Atomic structure:
```
data_Ba2Ca3Bi4
_chemical_formula_sum 'Ba8 Ca12 Bi16'
_cell_length_a 7.421
_cell_length_b 18.725
_cell_length_c 9.597
_cell_angle_alpha 90.00
_cell_angle_beta 90.00
_cell_angle_gamma 90.00
_space_group_name_H-M_alt 'C m c e'
_space_group_IT_number 64
_space_group_name_Hall '-C 2ac 2'
loop_
_atom_site_label
_atom_site_type_symbol
_atom_site_fract_x
_atom_site_fract_y
_atom_site_fract_z
Ba1 Ba 0.000 0.113 0.090
Ca1 Ca 0.000 0.000 0.500
Ca2 Ca 0.250 0.208 0.750
Bi1 Bi 0.000 0.191 0.447
Bi2 Bi 0.250 0.039 0.750
```


Record 4
For Ba3CaBi6, a DFT-relaxed cell (PBE, Alexandria) gives the computed X-ray powder pattern in this record (Cu Kα (weighted mean of Kα1 and Kα2)).
Kinematic intensities with the Lorentz-polarization factor, no thermal factor.

Most intense lines, 2θ = 10–90°, by angle:
2θ = 21.82°, rel. 25.6, hkl 3 0 0; 2θ = 27.00°, rel. 34.8, hkl 1 0 4; 2θ = 27.10°, rel. 87.7, hkl 1 3 1; 2θ = 29.40°, rel. 100.0, hkl 3 1 2; 2θ = 29.88°, rel. 47.9, hkl 0 2 4; 2θ = 39.11°, rel. 47.9, hkl 4 1 3

Atomic structure:
```
data_Ba3CaBi6
_chemical_formula_sum 'Ba18 Ca6 Bi36'
_cell_length_a 14.1086
_cell_length_b 14.1086
_cell_length_c 13.7196
_cell_angle_alpha 90.00
_cell_angle_beta 90.00
_cell_angle_gamma 120.00
_space_group_name_H-M_alt 'R -3 c'
_space_group_IT_number 167
_space_group_name_Hall '-R 3 2"c'
loop_
_atom_site_label
_atom_site_type_symbol
_atom_site_fract_x
_atom_site_fract_y
_atom_site_fract_z
Ba1 Ba 0.0000 0.4311 0.2500
Ca1 Ca 0.0000 0.0000 0.0000
Bi1 Bi 0.0714 0.2131 0.3442
```


Record 5
For BaCaBiCl, a DFT-relaxed cell (PBE, Alexandria) gives the computed X-ray powder pattern in this record (Cu Kα (weighted mean of Kα1 and Kα2)).
Kinematic intensities with the Lorentz-polarization factor, no thermal factor.

Most intense lines, 2θ = 10–90°, by angle:
2θ = 23.56°, rel. 100.0, hkl 1 0 2; 2θ = 24.29°, rel. 38.8, hkl 1 1 0; 2θ = 29.27°, rel. 49.4, hkl 1 1 2; 2θ = 34.62°, rel. 43.5, hkl 2 0 0; 2θ = 36.94°, rel. 36.2, hkl 1 0 4; 2θ = 42.31°, rel. 43.6, hkl 2 1 2

Atomic structure:
```
data_BaCaBiCl
_chemical_formula_sum 'Ba2 Ca2 Bi2 Cl2'
_cell_length_a 5.182
_cell_length_b 5.182
_cell_length_c 11.027
_cell_angle_alpha 90.00
_cell_angle_beta 90.00
_cell_angle_gamma 90.00
_space_group_name_H-M_alt 'P 4/n m m'
_space_group_IT_number 129
loop_
_space_group_symop_operation_xyz
'x,y,z'
'-x,-y,-z'
'-y+1/2,x,z'
'y+1/2,-x,-z'
'-x+1/2,-y+1/2,z'
'x+1/2,y+1/2,-z'
'y,-x+1/2,z'
'-y,x+1/2,-z'
'x+1/2,-y,-z'
'-x+1/2,y,z'
'-y,-x,-z'
'y,x,z'
'-x,y+1/2,-z'
'x,-y+1/2,z'
'y+1/2,x+1/2,-z'
'-y+1/2,-x+1/2,z'
loop_
_atom_site_label
_atom_site_type_symbol
_atom_site_fract_x
_atom_site_fract_y
_atom_site_fract_z
Ba1 Ba 0.250 0.250 0.163
Ca1 Ca 0.250 0.750 0.500
Bi1 Bi 0.250 0.250 0.675
Cl1 Cl 0.250 0.750 0.000
```


Record 6
For Ba2Ca2Bi2I, a DFT-relaxed cell (PBE, Alexandria) gives the computed X-ray powder pattern in this record (Cu Kα (weighted mean of Kα1 and Kα2)).
Kinematic intensities with the Lorentz-polarization factor, no thermal factor.

Most intense lines, 2θ = 10–90°, by angle:
2θ = 22.12°, rel. 99.6, hkl 1 1 0; 2θ = 28.87°, rel. 100.0, hkl 1 0 5; 2θ = 29.49°, rel. 27.2, hkl 1 1 4; 2θ = 31.48°, rel. 64.1, hkl 2 0 0; 2θ = 43.24°, rel. 67.2, hkl 2 1 5; 2θ = 45.12°, rel. 23.7, hkl 2 2 0

Atomic structure:
```
data_Ba2Ca2Bi2I
_chemical_formula_sum 'Ba4 Ca4 Bi4 I2'
_cell_length_a 5.683
_cell_length_b 5.683
_cell_length_c 18.434
_cell_angle_alpha 90.00
_cell_angle_beta 90.00
_cell_angle_gamma 90.00
_space_group_name_H-M_alt 'I 4/m m m'
_space_group_IT_number 139
_space_group_name_Hall '-I 4 2'
loop_
_atom_site_label
_atom_site_type_symbol
_atom_site_fract_x
_atom_site_fract_y
_atom_site_fract_z
Ba1 Ba 0.000 0.000 0.186
Ca1 Ca 0.000 0.500 0.000
Bi1 Bi 0.000 0.000 0.380
I1 I 0.000 0.000 0.000
```


Record 7
For BaCaBiI, a DFT-relaxed cell (PBE, Alexandria) gives the computed X-ray powder pattern in this record (Cu Kα (weighted mean of Kα1 and Kα2)).
Kinematic intensities with the Lorentz-polarization factor, no thermal factor.

Most intense lines, 2θ = 10–90°, by angle:
2θ = 20.88°, rel. 76.8, hkl 1 0 4; 2θ = 23.65°, rel. 72.4, hkl 1 0 7; 2θ = 27.41°, rel. 81.4, hkl 1 0 10; 2θ = 33.94°, rel. 100.0, hkl 1 1 0; 2θ = 38.48°, rel. 51.1, hkl 0 1 17; 2θ = 41.44°, rel. 23.9, hkl 1 1 12

Atomic structure:
```
data_BaCaBiI
_chemical_formula_sum 'Ba6 Ca6 Bi6 I6'
_cell_length_a 5.2822
_cell_length_b 5.2822
_cell_length_c 46.2846
_cell_angle_alpha 90.00
_cell_angle_beta 90.00
_cell_angle_gamma 120.00
_space_group_name_H-M_alt 'R -3 m'
_space_group_IT_number 166
_space_group_name_Hall '-R 3 2"'
loop_
_atom_site_label
_atom_site_type_symbol
_atom_site_fract_x
_atom_site_fract_y
_atom_site_fract_z
Ba1 Ba 0.0000 0.0000 0.0937
Ca1 Ca 0.0000 0.0000 0.3082
Bi1 Bi 0.0000 0.0000 0.3800
I1 I 0.0000 0.0000 0.2035
```


Record 8
For BaCaLaBiO6, a DFT-relaxed cell (PBE, Alexandria) gives the computed X-ray powder pattern in this record (Cu Kα (weighted mean of Kα1 and Kα2)).
Kinematic intensities with the Lorentz-polarization factor, no thermal factor.

Most intense lines, 2θ = 10–90°, by angle:
2θ = 28.82°, rel. 69.3, hkl 1 1 2; 2θ = 28.97°, rel. 100.0, hkl 1 1 -2; 2θ = 29.39°, rel. 32.5, hkl 2 0 0; 2θ = 41.14°, rel. 18.4, hkl 0 0 4; 2θ = 51.12°, rel. 21.6, hkl 0 2 -4; 2θ = 51.86°, rel. 16.3, hkl 3 1 -2

Atomic structure:
```
data_BaCaLaBiO6
_chemical_formula_sum 'Ba2 Ca2 La2 Bi2 O12'
_cell_length_a 6.079
_cell_length_b 6.199
_cell_length_c 8.777
_cell_angle_alpha 89.80
_cell_angle_beta 89.84
_cell_angle_gamma 89.70
_space_group_name_H-M_alt 'P -1'
_space_group_IT_number 2
loop_
_space_group_symop_operation_xyz
'x,y,z'
'-x,-y,-z'
loop_
_atom_site_label
_atom_site_type_symbol
_atom_site_fract_x
_atom_site_fract_y
_atom_site_fract_z
Ba1 Ba 0.009 0.460 0.249
Ca1 Ca 0.499 0.967 0.254
La1 La 0.000 0.000 0.000
La2 La 0.500 0.500 0.500
Bi1 Bi 0.000 0.000 0.500
Bi2 Bi 0.500 0.500 0.000
O1 O 0.115 0.990 0.735
O2 O 0.184 0.712 0.464
O3 O 0.206 0.684 0.024
O4 O 0.292 0.179 0.436
O5 O 0.327 0.206 0.069
O6 O 0.431 0.421 0.765
```


Record 9
For BaCaTbBiO6, a DFT-relaxed cell (PBE, Alexandria) gives the computed X-ray powder pattern in this record (Cu Kα (weighted mean of Kα1 and Kα2)).
Kinematic intensities with the Lorentz-polarization factor, no thermal factor.

Most intense lines, 2θ = 10–90°, by angle:
2θ = 20.85°, rel. 16.7, hkl 1 1 0; 2θ = 29.51°, rel. 100.0, hkl 1 -1 2; 2θ = 29.76°, rel. 19.6, hkl 2 0 0; 2θ = 52.31°, rel. 13.6, hkl 2 0 -4; 2θ = 52.41°, rel. 12.6, hkl -1 3 2; 2θ = 52.64°, rel. 14.1, hkl 3 -1 2

Atomic structure:
```
data_BaCaTbBiO6
_chemical_formula_sum 'Ba2 Ca2 Tb2 Bi2 O12'
_cell_length_a 6.004
_cell_length_b 6.046
_cell_length_c 8.609
_cell_angle_alpha 90.08
_cell_angle_beta 90.07
_cell_angle_gamma 90.16
_space_group_name_H-M_alt 'P -1'
_space_group_IT_number 2
loop_
_space_group_symop_operation_xyz
'x,y,z'
'-x,-y,-z'
loop_
_atom_site_label
_atom_site_type_symbol
_atom_site_fract_x
_atom_site_fract_y
_atom_site_fract_z
Ba1 Ba 0.009 0.027 0.250
Ca1 Ca 0.495 0.471 0.748
Tb1 Tb 0.000 0.500 0.500
Tb2 Tb 0.500 0.000 0.000
Bi1 Bi 0.000 0.500 0.000
Bi2 Bi 0.500 0.000 0.500
O1 O 0.098 0.487 0.758
O2 O 0.195 0.792 0.020
O3 O 0.208 0.804 0.483
O4 O 0.295 0.312 0.061
O5 O 0.315 0.297 0.442
O6 O 0.446 0.073 0.743
```


Record 10
For BaCd2Bi2, a DFT-relaxed cell (PBE, Alexandria) gives the computed X-ray powder pattern in this record (Cu Kα (weighted mean of Kα1 and Kα2)).
Kinematic intensities with the Lorentz-polarization factor, no thermal factor.

Most intense lines, 2θ = 10–90°, by angle:
2θ = 24.14°, rel. 22.4, hkl 1 1 2; 2θ = 25.99°, rel. 23.4, hkl 2 1 1; 2θ = 27.16°, rel. 47.4, hkl 3 0 1; 2θ = 28.59°, rel. 100.0, hkl 1 1 3; 2θ = 32.70°, rel. 57.6, hkl 3 1 1; 2θ = 36.23°, rel. 44.3, hkl 0 2 0

Atomic structure:
```
data_BaCd2Bi2
_chemical_formula_sum 'Ba4 Cd8 Bi8'
_cell_length_a 10.181
_cell_length_b 4.958
_cell_length_c 13.122
_cell_angle_alpha 90.00
_cell_angle_beta 90.00
_cell_angle_gamma 90.00
_space_group_name_H-M_alt 'P n m a'
_space_group_IT_number 62
loop_
_space_group_symop_operation_xyz
'x,y,z'
'-x,-y,-z'
'-x+1/2,-y,z+1/2'
'x+1/2,y,-z+1/2'
'x+1/2,-y+1/2,-z+1/2'
'-x+1/2,y+1/2,z+1/2'
'-x,y+1/2,-z'
'x,-y+1/2,z'
loop_
_atom_site_label
_atom_site_type_symbol
_atom_site_fract_x
_atom_site_fract_y
_atom_site_fract_z
Ba1 Ba 0.207 0.250 0.166
Cd1 Cd 0.080 0.250 0.450
Cd2 Cd 0.212 0.250 0.864
Bi1 Bi 0.012 0.250 0.682
Bi2 Bi 0.120 0.750 0.963
```


Record 11
For Ba2Cd15Bi2, a DFT-relaxed cell (PBE, Alexandria) gives the computed X-ray powder pattern in this record (Cu Kα (weighted mean of Kα1 and Kα2)).
Kinematic intensities with the Lorentz-polarization factor, no thermal factor.

Most intense lines, 2θ = 10–90°, by angle:
2θ = 29.07°, rel. 62.9, hkl 3 0 0; 2θ = 30.46°, rel. 42.6, hkl 0 2 4; 2θ = 33.69°, rel. 88.6, hkl 2 2 0; 2θ = 34.12°, rel. 100.0, hkl 0 3 3; 2θ = 35.36°, rel. 66.3, hkl 0 0 6; 2θ = 38.19°, rel. 99.4, hkl 2 2 3

Atomic structure:
```
data_Ba2Cd15Bi2
_chemical_formula_sum 'Ba6 Cd45 Bi6'
_cell_length_a 10.6422
_cell_length_b 10.6422
_cell_length_c 15.2240
_cell_angle_alpha 90.00
_cell_angle_beta 90.00
_cell_angle_gamma 120.00
_space_group_name_H-M_alt 'R -3 m'
_space_group_IT_number 166
_space_group_name_Hall '-R 3 2"'
loop_
_atom_site_label
_atom_site_type_symbol
_atom_site_fract_x
_atom_site_fract_y
_atom_site_fract_z
Ba1 Ba 0.0000 0.0000 0.1584
Cd1 Cd 0.0000 0.3069 0.5000
Cd2 Cd 0.0000 0.5000 0.0000
Cd3 Cd 0.0122 0.5061 0.6531
Bi1 Bi 0.0000 0.0000 0.3932
```


Record 12
For Ba2CdBi2, a DFT-relaxed cell (PBE, Alexandria) gives the computed X-ray powder pattern in this record (Cu Kα (weighted mean of Kα1 and Kα2)).
Kinematic intensities with the Lorentz-polarization factor, no thermal factor.

Most intense lines, 2θ = 10–90°, by angle:
2θ = 22.45°, rel. 75.1, hkl 2 1 1; 2θ = 27.91°, rel. 73.2, hkl 2 1 -2; 2θ = 28.55°, rel. 80.6, hkl 0 2 2; 2θ = 28.83°, rel. 64.8, hkl 2 1 2; 2θ = 34.36°, rel. 52.2, hkl 4 0 0; 2θ = 34.84°, rel. 100.0, hkl 2 3 0

Atomic structure:
```
data_Ba2CdBi2
_chemical_formula_sum 'Ba8 Cd4 Bi8'
_cell_length_a 10.446
_cell_length_b 8.882
_cell_length_c 8.804
_cell_angle_alpha 90.00
_cell_angle_beta 92.10
_cell_angle_gamma 90.00
_space_group_name_H-M_alt 'P 1 21/c 1'
_space_group_IT_number 14
loop_
_space_group_symop_operation_xyz
'x,y,z'
'-x,-y,-z'
'-x,y+1/2,-z+1/2'
'x,-y+1/2,z+1/2'
loop_
_atom_site_label
_atom_site_type_symbol
_atom_site_fract_x
_atom_site_fract_y
_atom_site_fract_z
Ba1 Ba 0.094 0.248 0.004
Ba2 Ba 0.354 0.709 0.985
Cd1 Cd 0.378 0.087 0.821
Bi1 Bi 0.132 0.570 0.251
Bi2 Bi 0.376 0.094 0.203
```